KVPbF6: computed powder diffraction line list (a wavelength of 1.5418 Å), based on a structure optimized by DFT (PBE+U).

Structure:
Lattice parameters (Å, degrees): 4.535 5.822 5.824 60.07 89.96 89.96
Space group P1 (No. 1)
Asymmetric unit:
K1 0.000 0.000 0.000 [1 per cell]
V1 0.747 0.334 0.333 [1 per cell]
Pb1 0.384 0.666 0.667 [1 per cell]
F1 0.508 0.111 0.237 [1 per cell]
F2 0.508 0.237 0.653 [1 per cell]
F3 0.508 0.653 0.110 [1 per cell]
F4 0.978 0.001 0.548 [1 per cell]
F5 0.978 0.452 0.000 [1 per cell]
F6 0.978 0.548 0.451 [1 per cell]

Peak list (8 most intense, 2θ = 15–90°, low angle first)
(hkl)  2θ/deg  I_rel
0 1 0  17.58  57.5
1 1 0  26.43  100.0
0 2 1  30.70  43.4
1 1 2  36.67  20.3
1 0 -2  40.94  58.6
2 0 -1  43.77  25.0
1 3 1  52.03  33.5
2 3 2  63.78  17.2